# 1
For Dy2PCl, a DFT-relaxed cell (PBE, Alexandria) gives the computed powder diffractogram in this record (λ = 1.5418 Å (Cu Kα)).

Cell and atoms:
a = 7.3240 Å, b = 7.3240 Å, c = 7.3240 Å
α = 31.17°, β = 31.17°, γ = 31.17°
Fractional positions:
Dy 0.0000 0.0000 0.0000
Dy 0.1945 0.1945 0.1945
P 0.5954 0.5954 0.5954
Cl 0.7658 0.7658 0.7658

Top 12 peaks for 2θ = 10–90°, low angle first:
| d_spacing | intensity |
| --- | --- |
| 3.481 | 22 |
| 3.363 | 63 |
| 3.240 | 20 |
| 2.854 | 49 |
| 2.641 | 100 |
| 2.245 | 15 |
| 1.968 | 45 |
| 1.781 | 25 |
| 1.713 | 19 |
| 1.578 | 21 |
| 1.231 | 18 |
| 1.136 | 18 |

---

# 2
For RbDy2Cl7, a DFT-relaxed cell (PBE, Alexandria) gives the computed powder diffractogram in this record (λ = 1.5418 Å (Cu Kα)).

Cell and atoms:
a = 13.7702 Å, b = 6.9839 Å, c = 12.7129 Å
α = 90.00°, β = 90.00°, γ = 90.00°
Fractional positions:
Rb 0.0330 0.2500 0.2001
Rb 0.4670 0.7500 0.7001
Rb 0.5330 0.2500 0.2999
Rb 0.9670 0.7500 0.7999
Dy 0.2398 0.2500 0.5408
Dy 0.2466 0.2500 0.8439
Dy 0.2534 0.7500 0.3439
Dy 0.2602 0.7500 0.0408
Dy 0.7398 0.2500 0.9592
Dy 0.7466 0.2500 0.6561
Dy 0.7534 0.7500 0.1561
Dy 0.7602 0.7500 0.4592
Cl 0.1142 0.7500 0.1906
Cl 0.1283 0.0104 0.4232
Cl 0.1283 0.4896 0.4232
Cl 0.1332 0.0095 0.9610
Cl 0.1332 0.4905 0.9610
Cl 0.1750 0.0104 0.6934
Cl 0.1750 0.4896 0.6934
Cl 0.3250 0.5104 0.1934
Cl 0.3250 0.9896 0.1934
Cl 0.3668 0.5095 0.4610
Cl 0.3668 0.9905 0.4610
Cl 0.3717 0.5104 0.9232
Cl 0.3717 0.9896 0.9232
Cl 0.3858 0.2500 0.6906
Cl 0.6142 0.7500 0.3094
Cl 0.6283 0.0104 0.0768
Cl 0.6283 0.4896 0.0768
Cl 0.6332 0.0095 0.5390
Cl 0.6332 0.4905 0.5390
Cl 0.6750 0.0104 0.8066
Cl 0.6750 0.4896 0.8066
Cl 0.8250 0.5104 0.3066
Cl 0.8250 0.9896 0.3066
Cl 0.8668 0.5095 0.0390
Cl 0.8668 0.9905 0.0390
Cl 0.8717 0.5104 0.5768
Cl 0.8717 0.9896 0.5768
Cl 0.8858 0.2500 0.8094

Top 12 peaks for 2θ = 10–90°, low angle first:
| d_spacing | intensity |
| --- | --- |
| 6.885 | 87 |
| 6.121 | 27 |
| 4.575 | 100 |
| 3.502 | 67 |
| 2.844 | 33 |
| 2.613 | 30 |
| 2.496 | 16 |
| 2.451 | 45 |
| 2.317 | 36 |
| 2.192 | 28 |
| 2.093 | 20 |
| 2.018 | 16 |